For Mn2Tl2F7, a cell relaxed with PBE+U gives the simulated XRD peak list in this record (CuKα).
Intensities are scaled so that the largest is 100.

Peak list (12 most intense, 10 to 90 degrees two-theta, most intense first)
2θ/deg	d (Å)	Rel. int.
26.09	3.415	100
26.41	3.375	80
31.86	2.808	61
13.53	6.542	45
34.76	2.581	45
53.70	1.707	41
27.26	3.271	40
53.19	1.722	34
42.42	2.131	32
47.48	1.915	25
35.67	2.517	21
46.07	1.970	21

abc: 7.6707 7.6707 3.9399
angles: 90.00 90.00 117.06
Positions (direct):
Mn: 0.2453 0.2453 0.0000
Mn: 0.7547 0.7547 0.0000
Tl: 0.2371 0.7629 0.5000
Tl: 0.7629 0.2371 0.5000
F: 0.0479 0.3377 0.0000
F: 0.2144 0.2144 0.5000
F: 0.3377 0.0479 0.0000
F: 0.5000 0.5000 0.0000
F: 0.6623 0.9521 0.0000
F: 0.7856 0.7856 0.5000
F: 0.9521 0.6623 0.0000